Record 1
Structure and theoretical XRD peak list of TbHo3Er5 (a cell relaxed with PBE; a wavelength of 1.5418 Å).
Intensities are scaled so that the largest is 100.

Structure:
```
data_TbHo3Er5
_chemical_formula_sum 'Tb4 Ho12 Er20'
_space_group_name_H-M_alt 'C 1 2/c 1'
_space_group_IT_number 15
_cell_length_a 16.129
_cell_length_b 8.697
_cell_length_c 10.955
_cell_angle_alpha 90.00
_cell_angle_beta 132.30
_cell_angle_gamma 90.00
loop_
_space_group_symop_operation_xyz
'x,y,z'
'-x,-y,-z'
'-x,y,-z+1/2'
'x,-y,z+1/2'
'x+1/2,y+1/2,z'
'-x+1/2,-y+1/2,-z'
'-x+1/2,y+1/2,-z+1/2'
'x+1/2,-y+1/2,z+1/2'
loop_
_atom_site_label
_atom_site_fract_x
_atom_site_fract_y
_atom_site_fract_z
_atom_site_occupancy
Tb1 0.000 0.244 0.250 1
Ho1 0.000 0.000 0.000 1
Ho2 0.218 0.032 0.968 1
Er1 0.000 0.325 0.750 1
Er2 0.096 0.380 0.113 1
Er3 0.182 0.284 0.668 1
```

Largest 10 diffraction maxima, most intense first, 10 to 90 degrees two-theta:
d/Å  2θ/deg  I/Imax
2.739  32.7  100
2.951  30.3  93
2.964  30.1  76
3.029  29.5  38
2.817  31.8  35
2.830  31.6  33
2.726  32.9  32
2.537  35.4  26
3.007  29.7  25
1.964  46.2  23


Record 2
Structure and theoretical XRD peak list of Tb6Ho19Er4 (a cell relaxed with PBE; a wavelength of 1.5418 Å).
Intensities are scaled so that the largest is 100.

Structure:
```
data_Tb6Ho19Er4
_chemical_formula_sum 'Tb12 Ho38 Er8'
_space_group_name_H-M_alt 'I 2 3'
_space_group_IT_number 197
_space_group_name_Hall 'I 2 2 3'
_cell_length_a 12.331
_cell_length_b 12.331
_cell_length_c 12.331
_cell_angle_alpha 90.00
_cell_angle_beta 90.00
_cell_angle_gamma 90.00
loop_
_atom_site_label
_atom_site_fract_x
_atom_site_fract_y
_atom_site_fract_z
_atom_site_occupancy
Tb1 0.000 0.373 0.500 1
Ho1 0.000 0.000 0.000 1
Ho2 0.000 0.000 0.260 1
Ho3 0.063 0.261 0.278 1
Er1 0.179 0.179 0.821 1
```

Largest 10 diffraction maxima, most intense first, 10 to 90 degrees two-theta:
d/Å  2θ/deg  I/Imax
2.907  30.8  100
2.418  37.2  71
3.083  29.0  57
3.296  27.1  48
2.517  35.7  43
1.518  61.0  27
1.678  54.7  25
1.495  62.1  21
2.115  42.8  19
2.629  34.1  18


Record 3
Structure and theoretical XRD peak list of TbHo7Er2 (a cell relaxed with PBE; a wavelength of 1.5418 Å).
Intensities are scaled so that the largest is 100.

Structure:
```
data_TbHo7Er2
_chemical_formula_sum 'Tb1 Ho7 Er2'
_space_group_name_H-M_alt 'P -1'
_space_group_IT_number 2
_cell_length_a 6.085
_cell_length_b 6.097
_cell_length_c 9.292
_cell_angle_alpha 102.62
_cell_angle_beta 108.99
_cell_angle_gamma 99.62
loop_
_space_group_symop_operation_xyz
'x,y,z'
'-x,-y,-z'
loop_
_atom_site_label
_atom_site_fract_x
_atom_site_fract_y
_atom_site_fract_z
_atom_site_occupancy
Tb1 0.000 0.000 0.000 1
Ho1 0.000 0.500 0.500 1
Ho2 0.200 0.500 0.900 1
Ho3 0.399 0.000 0.799 1
Ho4 0.400 0.500 0.300 1
Er1 0.200 0.000 0.400 1
```

Largest 10 diffraction maxima, most intense first, 10 to 90 degrees two-theta:
d/Å  2θ/deg  I/Imax
2.871  31.2  100
2.486  36.1  51
1.758  52.0  30
1.500  61.9  28
1.498  62.0  14
1.141  85.0  10
1.112  87.7  8
1.436  64.9  6
1.434  65.0  6
1.755  52.1  6


Record 4
Structure and theoretical XRD peak list of Tb7Ho2Er3 (a cell relaxed with PBE; a wavelength of 1.5418 Å).
Intensities are scaled so that the largest is 100.

Structure:
```
data_Tb7Ho2Er3
_chemical_formula_sum 'Tb28 Ho8 Er12'
_space_group_name_H-M_alt 'F m m m'
_space_group_IT_number 69
_space_group_name_Hall '-F 2 2'
_cell_length_a 7.082
_cell_length_b 9.984
_cell_length_c 21.166
_cell_angle_alpha 90.00
_cell_angle_beta 90.00
_cell_angle_gamma 90.00
loop_
_atom_site_label
_atom_site_fract_x
_atom_site_fract_y
_atom_site_fract_z
_atom_site_occupancy
Tb1 0.000 0.000 0.000 1
Tb2 0.250 0.250 0.084 1
Tb3 0.250 0.250 0.250 1
Ho1 0.000 0.000 0.333 1
Er1 0.000 0.000 0.167 1
Er2 0.000 0.000 0.500 1
```

Largest 10 diffraction maxima, most intense first, 10 to 90 degrees two-theta:
d/Å  2θ/deg  I/Imax
2.885  31.0  100
2.498  36.0  51
1.766  51.8  30
1.505  61.6  28
1.508  61.5  14
1.117  87.3  11
1.145  84.6  9
1.444  64.5  6
1.440  64.7  6
1.770  51.6  6


Record 5
Structure and theoretical XRD peak list of Tb8Ho3Er2 (a cell relaxed with PBE; a wavelength of 1.5418 Å).
Intensities are scaled so that the largest is 100.

Structure:
```
data_Tb8Ho3Er2
_chemical_formula_sum 'Tb8 Ho3 Er2'
_space_group_name_H-M_alt 'P 1 2/m 1'
_space_group_IT_number 10
_cell_length_a 7.606
_cell_length_b 5.597
_cell_length_c 10.706
_cell_angle_alpha 90.00
_cell_angle_beta 110.79
_cell_angle_gamma 90.00
loop_
_space_group_symop_operation_xyz
'x,y,z'
'-x,-y,-z'
'-x,y,-z'
'x,-y,z'
loop_
_atom_site_label
_atom_site_fract_x
_atom_site_fract_y
_atom_site_fract_z
_atom_site_occupancy
Tb1 0.102 0.000 0.285 1
Tb2 0.169 0.500 0.838 1
Tb3 0.317 0.000 0.715 1
Tb4 0.367 0.500 0.234 1
Ho1 0.214 0.500 0.500 1
Ho2 0.500 0.000 0.500 1
Er1 0.259 0.000 0.018 1
```

Largest 10 diffraction maxima, most intense first, 10 to 90 degrees two-theta:
d/Å  2θ/deg  I/Imax
2.663  33.7  100
2.798  32.0  41
2.994  29.8  33
2.866  31.2  33
3.555  25.0  21
1.588  58.1  21
2.503  35.9  13
2.199  41.0  12
1.435  65.0  11
1.496  62.0  11


Record 6
Structure and theoretical XRD peak list of Tb4HoEr15 (a cell relaxed with PBE; a wavelength of 1.5418 Å).
Intensities are scaled so that the largest is 100.

Structure:
```
data_Tb4HoEr15
_chemical_formula_sum 'Tb4 Ho1 Er15'
_space_group_name_H-M_alt 'P 4/m m m'
_space_group_IT_number 123
_space_group_name_Hall '-P 4 2'
_cell_length_a 4.964
_cell_length_b 4.964
_cell_length_c 24.811
_cell_angle_alpha 90.00
_cell_angle_beta 90.00
_cell_angle_gamma 90.00
loop_
_atom_site_label
_atom_site_fract_x
_atom_site_fract_y
_atom_site_fract_z
_atom_site_occupancy
Tb1 0.000 0.000 0.100 1
Tb2 0.000 0.000 0.300 1
Ho1 0.000 0.000 0.500 1
Er1 0.000 0.500 0.000 1
Er2 0.000 0.500 0.200 1
Er3 0.000 0.500 0.400 1
Er4 0.500 0.500 0.100 1
Er5 0.500 0.500 0.300 1
Er6 0.500 0.500 0.500 1
```

Largest 8 diffraction maxima, most intense first, 10 to 90 degrees two-theta:
d/Å  2θ/deg  I/Imax
2.866  31.2  100
2.482  36.2  51
1.497  62.0  43
1.755  52.1  36
1.139  85.2  18
1.110  88.0  17
1.433  65.1  12
1.241  76.8  6


Record 7
Structure and theoretical XRD peak list of TbHo4Er6 (a cell relaxed with PBE; a wavelength of 1.5418 Å).
Intensities are scaled so that the largest is 100.

Structure:
```
data_TbHo4Er6
_chemical_formula_sum 'Tb4 Ho16 Er24'
_space_group_name_H-M_alt 'C m c m'
_space_group_IT_number 63
_space_group_name_Hall '-C 2c 2'
_cell_length_a 5.593
_cell_length_b 9.563
_cell_length_c 25.410
_cell_angle_alpha 90.00
_cell_angle_beta 90.00
_cell_angle_gamma 90.00
loop_
_atom_site_label
_atom_site_fract_x
_atom_site_fract_y
_atom_site_fract_z
_atom_site_occupancy
Tb1 0.000 0.177 0.250 1
Ho1 0.000 0.162 0.542 1
Ho2 0.000 0.487 0.621 1
Er1 0.000 0.155 0.681 1
Er2 0.000 0.178 0.104 1
Er3 0.000 0.489 0.750 1
Er4 0.000 0.500 0.000 1
```

Largest 10 diffraction maxima, most intense first, 10 to 90 degrees two-theta:
d/Å  2θ/deg  I/Imax
2.769  32.3  100
2.901  30.8  64
2.796  32.0  53
2.891  30.9  38
2.653  33.8  34
2.010  45.1  27
1.609  57.2  20
1.620  56.8  15
1.518  61.0  14
1.634  56.3  12


Record 8
Structure and theoretical XRD peak list of TbHo8Er3 (a cell relaxed with PBE; a wavelength of 1.5418 Å).
Intensities are scaled so that the largest is 100.

Structure:
```
data_TbHo8Er3
_chemical_formula_sum 'Tb1 Ho8 Er3'
_space_group_name_H-M_alt 'P -1'
_space_group_IT_number 2
_cell_length_a 7.022
_cell_length_b 7.028
_cell_length_c 9.292
_cell_angle_alpha 79.15
_cell_angle_beta 67.88
_cell_angle_gamma 60.04
loop_
_space_group_symop_operation_xyz
'x,y,z'
'-x,-y,-z'
loop_
_atom_site_label
_atom_site_fract_x
_atom_site_fract_y
_atom_site_fract_z
_atom_site_occupancy
Tb1 0.000 0.000 0.000 1
Ho1 0.167 0.333 0.333 1
Ho2 0.167 0.833 0.333 1
Ho3 0.333 0.167 0.667 1
Ho4 0.333 0.667 0.667 1
Er1 0.000 0.500 0.000 1
Er2 0.500 0.000 0.000 1
Er3 0.500 0.500 0.000 1
```

Largest 10 diffraction maxima, most intense first, 10 to 90 degrees two-theta:
d/Å  2θ/deg  I/Imax
2.869  31.2  100
2.484  36.2  51
1.757  52.1  36
1.498  61.9  36
1.434  65.0  12
1.140  85.1  12
1.112  87.8  10
1.497  62.0  7
1.110  87.9  7
1.139  85.2  6


Record 9
Structure and theoretical XRD peak list of Tb2Ho9Er (a cell relaxed with PBE; a wavelength of 1.5418 Å).
Intensities are scaled so that the largest is 100.

Structure:
```
data_Tb2Ho9Er
_chemical_formula_sum 'Tb2 Ho9 Er1'
_space_group_name_H-M_alt 'P 4/m m m'
_space_group_IT_number 123
_space_group_name_Hall '-P 4 2'
_cell_length_a 4.981
_cell_length_b 4.981
_cell_length_c 14.935
_cell_angle_alpha 90.00
_cell_angle_beta 90.00
_cell_angle_gamma 90.00
loop_
_atom_site_label
_atom_site_fract_x
_atom_site_fract_y
_atom_site_fract_z
_atom_site_occupancy
Tb1 0.000 0.000 0.167 1
Ho1 0.000 0.500 0.000 1
Ho2 0.000 0.500 0.334 1
Ho3 0.500 0.500 0.167 1
Ho4 0.500 0.500 0.500 1
Er1 0.000 0.000 0.500 1
```

Largest 8 diffraction maxima, most intense first, 10 to 90 degrees two-theta:
d/Å  2θ/deg  I/Imax
2.875  31.1  100
2.490  36.1  51
1.502  61.8  43
1.761  51.9  36
1.142  84.9  18
1.114  87.6  17
1.438  64.9  12
1.245  76.5  6


Record 10
Structure and theoretical XRD peak list of Tb6Ho2Er5 (a cell relaxed with PBE; a wavelength of 1.5418 Å).
Intensities are scaled so that the largest is 100.

Structure:
```
data_Tb6Ho2Er5
_chemical_formula_sum 'Tb12 Ho4 Er10'
_space_group_name_H-M_alt 'P b a m'
_space_group_IT_number 55
_cell_length_a 11.542
_cell_length_b 20.060
_cell_length_c 3.556
_cell_angle_alpha 90.00
_cell_angle_beta 90.00
_cell_angle_gamma 90.00
loop_
_space_group_symop_operation_xyz
'x,y,z'
'-x,-y,-z'
'-x,-y,z'
'x,y,-z'
'x+1/2,-y+1/2,-z'
'-x+1/2,y+1/2,z'
'-x+1/2,y+1/2,-z'
'x+1/2,-y+1/2,z'
loop_
_atom_site_label
_atom_site_fract_x
_atom_site_fract_y
_atom_site_fract_z
_atom_site_occupancy
Tb1 0.059 0.081 0.000 1
Tb2 0.084 0.368 0.000 1
Tb3 0.172 0.635 0.500 1
Ho1 0.166 0.790 0.000 1
Er1 0.000 0.500 0.500 1
Er2 0.092 0.226 0.500 1
Er3 0.198 0.949 0.500 1
```

Largest 10 diffraction maxima, most intense first, 10 to 90 degrees two-theta:
d/Å  2θ/deg  I/Imax
2.758  32.5  100
2.779  32.2  98
2.856  31.3  56
2.813  31.8  54
2.592  34.6  36
2.433  37.0  33
3.215  27.8  28
2.899  30.8  24
1.778  51.4  23
2.524  35.6  21


Record 11
Structure and theoretical XRD peak list of Tb16Ho7Er6 (a cell relaxed with PBE; a wavelength of 1.5418 Å).
Intensities are scaled so that the largest is 100.

Structure:
```
data_Tb16Ho7Er6
_chemical_formula_sum 'Tb64 Ho28 Er24'
_space_group_name_H-M_alt 'F m -3 m'
_space_group_IT_number 225
_space_group_name_Hall '-F 4 2 3'
_cell_length_a 15.633
_cell_length_b 15.633
_cell_length_c 15.633
_cell_angle_alpha 90.00
_cell_angle_beta 90.00
_cell_angle_gamma 90.00
loop_
_atom_site_label
_atom_site_fract_x
_atom_site_fract_y
_atom_site_fract_z
_atom_site_occupancy
Tb1 0.123 0.123 0.123 1
Tb2 0.151 0.151 0.349 1
Ho1 0.000 0.000 0.000 1
Ho2 0.000 0.250 0.250 1
Er1 0.000 0.000 0.273 1
```

Largest 10 diffraction maxima, most intense first, 10 to 90 degrees two-theta:
d/Å  2θ/deg  I/Imax
2.764  32.4  100
1.596  57.8  25
3.009  29.7  14
1.954  46.5  14
2.035  44.5  8
1.511  61.3  8
3.191  28.0  7
1.382  67.8  7
1.236  77.2  7
2.643  33.9  6